Structure and simulated powder diffraction line list of AcCrBiO6 (a crystal structure in Alexandria, relaxed with PBE+U; copper Kα).
Neutral-atom scattering factors, no anomalous dispersion.

Structural model:
Lattice parameters (Å, degrees): 5.4006 5.4006 10.7926 90.00 90.00 120.00
Sites, in units of the cell vectors:
Ac (0.0000, 0.0000, 0.0000)
Ac (0.0000, 0.0000, 0.5000)
Cr (0.3333, 0.6667, 0.2500)
Cr (0.6667, 0.3333, 0.7500)
Bi (0.3333, 0.6667, 0.7500)
Bi (0.6667, 0.3333, 0.2500)
O (0.0269, 0.3826, 0.1454)
O (0.0269, 0.6443, 0.3546)
O (0.3557, 0.3826, 0.3546)
O (0.3557, 0.9731, 0.1454)
O (0.3826, 0.0269, 0.6454)
O (0.3826, 0.3557, 0.8546)
O (0.6174, 0.6443, 0.1454)
O (0.6174, 0.9731, 0.3546)
O (0.6443, 0.0269, 0.8546)
O (0.6443, 0.6174, 0.6454)
O (0.9731, 0.3557, 0.6454)
O (0.9731, 0.6174, 0.8546)

Peak list (10 most intense, 2θ = 5–70°, in order of rising 2θ)
Position (°2θ), Rel. int.
20.7, 19
25.2, 100
31.4, 8
33.2, 48
42.1, 25
47.6, 39
54.6, 36
59.3, 11
65.5, 8
69.7, 16